KMoO3: calculated powder diffractogram (Cu Kα (λ = 1.5418 Å)), based on a cell relaxed with PBE+U.
Peak positions follow from Bragg's law for the DFT cell and can differ from measured ones.

Atomic structure:
```
data_KMoO3
_chemical_formula_sum 'K4 Mo4 O12'
_cell_length_a 6.071
_cell_length_b 15.137
_cell_length_c 5.233
_cell_angle_alpha 90.00
_cell_angle_beta 90.00
_cell_angle_gamma 90.00
_symmetry_space_group_name_H-M 'C m c m'
_symmetry_Int_Tables_number 63
_symmetry_space_group_name_Hall '-C 2c 2'
loop_
_atom_site_label
_atom_site_fract_x
_atom_site_fract_y
_atom_site_fract_z
_atom_site_occupancy
K1 0.000 0.174 0.250 1
Mo1 0.000 0.408 0.250 1
O1 0.000 0.500 0.000 1
O2 0.242 0.341 0.250 1
```

Main lines, low angle first (2θ = 10–80°):
d 5.634, 2θ 15.73, rel. 98, hkl 1 1 0; d 4.305, 2θ 20.63, rel. 61, hkl 0 2 1; d 3.834, 2θ 23.20, rel. 100, hkl 1 1 1; d 3.117, 2θ 28.64, rel. 56, hkl 1 3 1; d 3.067, 2θ 29.12, rel. 23, hkl 0 4 1; d 3.035, 2θ 29.43, rel. 24, hkl 2 0 0; d 2.709, 2θ 33.06, rel. 26, hkl 1 5 0; d 2.617, 2θ 34.27, rel. 25, hkl 0 0 2; d 2.157, 2θ 41.88, rel. 42, hkl 2 4 1; d 1.882, 2θ 48.36, rel. 29, hkl 1 5 2